Diffraction record for CeTe2. The powder diffractogram is simulated, not measured: it uses a cell relaxed with GGA-PBE and Cu Kα.
Lines closer than 0.1° are merged.

Structural model:
```
CeTe2
1.0
4.5065 0.0000 0.0000
0.0000 4.5065 0.0000
0.0000 0.0000 9.0609
Ce Te
2 4
Cartesian
1.1266 1.1266 2.0867
3.3799 3.3799 6.9742
1.1266 1.1266 7.8904
1.1266 3.3799 4.5305
3.3799 1.1266 4.5305
3.3799 3.3799 1.1705
```

The 10 most intense peaks (2θ = 10–90°), in order of falling intensity:
2θ 29.72, I = 100.0, (1 1 1)
2θ 34.41, I = 93.0, (1 1 2)
2θ 40.01, I = 65.1, (2 0 0)
2θ 35.79, I = 52.4, (1 0 3)
2θ 27.97, I = 40.5, (1 1 0)
2θ 29.58, I = 35.7, (0 0 3)
2θ 66.38, I = 33.5, (2 2 3)
2θ 50.54, I = 31.8, (2 0 3)
2θ 54.76, I = 30.7, (2 1 3)
2θ 69.10, I = 24.1, (3 1 2)

---

Diffraction record for TbCoSi. The powder diffractogram is simulated, not measured: it uses a cell relaxed with GGA-PBE and Cu Kα.
Lines closer than 0.1° are merged.

Structural model:
```
TbCoSi
1.0
3.9896 0.0000 0.0000
0.0000 3.9896 0.0000
0.0000 0.0000 6.6659
Tb Co Si
2 2 2
Cartesian
0.9974 0.9974 1.2181
2.9922 2.9922 5.4478
0.9974 2.9922 3.3329
2.9922 0.9974 3.3329
0.9974 0.9974 4.5643
2.9922 2.9922 2.1015
```

The 10 most intense peaks (2θ = 10–90°), in order of falling intensity:
2θ 26.03, I = 100.0, (1 0 1)
2θ 41.96, I = 71.4, (1 1 2)
2θ 35.08, I = 65.7, (1 0 2)
2θ 45.47, I = 50.2, (2 0 0)
2θ 34.52, I = 47.6, (1 1 1)
2θ 31.72, I = 34.1, (1 1 0)
2θ 58.69, I = 29.6, (2 1 2)
2θ 53.14, I = 29.3, (2 1 1)
2θ 60.18, I = 24.4, (1 0 4)
2θ 78.55, I = 22.7, (2 1 4)